No. 1
Starting from a DFT-relaxed cell (PBE, Alexandria), the PXRD pattern of LiPaTi was calculated for CuKα.
Peak positions follow from Bragg's law for the DFT cell and can differ from measured ones.

Top 12 peaks for 2θ = 10–90°, in order of rising 2θ:
Position (°2θ)  d_spacing  I (rel.)
11.32  7.818  100
22.75  3.909  24
33.79  2.653  9
34.41  2.606  13
34.54  2.597  29
35.64  2.519  11
37.07  2.425  14
37.24  2.414  22
37.87  2.376  10
40.32  2.237  21
43.70  2.072  8
51.40  1.778  8

Structural model:
```
12
Lattice="5.4089 0.0000 0.0000 0.0000 2.9710 0.0000 -2.3089 0.0000 15.6367" Properties=species:S:1:pos:R:3 pbc="T T T"
Li 0.8341 0.0000 1.2745
Li -0.4386 1.4855 14.3623
Li 3.5386 1.4855 1.2745
Li 2.2658 0.0000 14.3623
Pa -1.6131 0.0000 11.5092
Pa 2.0086 1.4855 4.1275
Pa 1.0913 1.4855 11.5092
Pa 4.7131 0.0000 4.1275
Ti -0.3572 0.0000 8.9292
Ti 0.7527 1.4855 6.7076
Ti 2.3473 1.4855 8.9292
Ti 3.4572 0.0000 6.7076
```

No. 2
Starting from a DFT-relaxed cell (PBE, Alexandria), the PXRD pattern of LiPa2V was calculated for CuKα.
Peak positions follow from Bragg's law for the DFT cell and can differ from measured ones.

Top 12 peaks for 2θ = 10–90°, in order of rising 2θ:
Position (°2θ)  d_spacing  I (rel.)
15.86  5.588  100
32.03  2.794  23
34.64  2.590  38
34.96  2.567  19
36.20  2.481  20
37.12  2.422  67
39.46  2.283  24
44.10  2.053  37
45.90  1.977  26
58.78  1.571  16
61.87  1.500  17
64.32  1.448  17

Structural model:
```
12
Lattice="2.9993 0.0000 0.0000 -1.4997 2.5975 0.0000 0.0000 0.0000 33.5291" Properties=species:S:1:pos:R:3 pbc="T T T"
Li 0.0000 0.0000 0.0000
Li 0.0000 1.7317 22.3527
Li 1.4997 0.8658 11.1763
Pa 0.0000 0.0000 3.1005
Pa 0.0000 0.0000 30.4286
Pa 0.0000 1.7317 19.2522
Pa 0.0000 1.7317 25.4532
Pa 1.4997 0.8658 8.0758
Pa 1.4997 0.8658 14.2769
V 0.0000 0.0000 16.7645
V 0.0000 1.7317 5.5882
V 1.4997 0.8658 27.9409
```